For Pr2Dy4Y3, a DFT-relaxed cell (GGA-PBE, Alexandria) gives the calculated X-ray powder pattern in this record (copper Kα).
Neutral-atom scattering factors, no anomalous dispersion.

Cell and atoms:
```
data_Pr2Dy4Y3
_chemical_formula_sum 'Pr4 Dy8 Y6'
_cell_length_a 10.241
_cell_length_b 10.241
_cell_length_c 6.032
_cell_angle_alpha 95.85
_cell_angle_beta 95.85
_cell_angle_gamma 69.73
_space_group_name_H-M_alt 'P 1'
_space_group_IT_number 1
_space_group_name_Hall 'P 1'
loop_
_atom_site_label
_atom_site_type_symbol
_atom_site_fract_x
_atom_site_fract_y
_atom_site_fract_z
Pr1 Pr 0.009 0.779 0.720
Pr2 Pr 0.221 0.991 0.780
Pr3 Pr 0.779 0.009 0.220
Pr4 Pr 0.991 0.221 0.280
Dy1 Dy 0.124 0.342 0.871
Dy2 Dy 0.332 0.545 0.956
Dy3 Dy 0.342 0.124 0.371
Dy4 Dy 0.455 0.668 0.544
Dy5 Dy 0.545 0.332 0.456
Dy6 Dy 0.658 0.876 0.629
Dy7 Dy 0.668 0.455 0.044
Dy8 Dy 0.876 0.658 0.129
Y1 Y 0.150 0.850 0.250
Y2 Y 0.186 0.486 0.412
Y3 Y 0.486 0.186 0.912
Y4 Y 0.514 0.814 0.088
Y5 Y 0.814 0.514 0.588
Y6 Y 0.850 0.150 0.750
```

Most intense lines, 5° ≤ 2θ ≤ 70°, sorted by position:
30.0°, rel. 576; 30.5°, rel. 502; 30.7°, rel. 626; 31.6°, rel. 1000; 37.2°, rel. 401; 37.7°, rel. 233; 54.9°, rel. 204; 55.5°, rel. 208